[1]
Theoretical powder diffraction line list of Sr2ZnHg for Cu Kα X-rays, from a cell relaxed with PBE.
Peak positions follow from Bragg's law for the DFT cell and can differ from measured ones.

Structural model:
```
data_Sr2ZnHg
_space_group_name_H-M_alt 'P 1'
_space_group_IT_number 1
_space_group_name_Hall 'P 1'
_cell_length_a 7.9248
_cell_length_b 7.9248
_cell_length_c 7.9248
_cell_angle_alpha 90.00
_cell_angle_beta 90.00
_cell_angle_gamma 90.00
loop_
_atom_site_label
_atom_site_type_symbol
_atom_site_fract_x
_atom_site_fract_y
_atom_site_fract_z
Sr1 Sr 0.2500 0.2500 0.2500
Sr2 Sr 0.2500 0.2500 0.7500
Sr3 Sr 0.2500 0.7500 0.2500
Sr4 Sr 0.2500 0.7500 0.7500
Sr5 Sr 0.7500 0.2500 0.2500
Sr6 Sr 0.7500 0.2500 0.7500
Sr7 Sr 0.7500 0.7500 0.2500
Sr8 Sr 0.7500 0.7500 0.7500
Zn1 Zn 0.0000 0.0000 0.0000
Zn2 Zn 0.0000 0.5000 0.5000
Zn3 Zn 0.5000 0.0000 0.5000
Zn4 Zn 0.5000 0.5000 0.0000
Hg1 Hg 0.0000 0.0000 0.5000
Hg2 Hg 0.0000 0.5000 0.0000
Hg3 Hg 0.5000 0.0000 0.0000
Hg4 Hg 0.5000 0.5000 0.5000
```

Most intense lines, 15 to 90 degrees two-theta, sorted by position:
Position (°2θ)	intensity
19.4	18
22.4	5
31.9	100
37.6	11
45.8	18
50.2	5
56.9	38
66.8	12
75.9	16
84.7	4


[2]
Theoretical powder diffraction line list of BaAg4Au4 for Cu Kα X-rays, from a cell relaxed with PBE.
Peak positions follow from Bragg's law for the DFT cell and can differ from measured ones.

Structural model:
```
data_BaAg4Au4
_space_group_name_H-M_alt 'P 1'
_space_group_IT_number 1
_space_group_name_Hall 'P 1'
_cell_length_a 7.0910
_cell_length_b 7.0910
_cell_length_c 7.0910
_cell_angle_alpha 96.94
_cell_angle_beta 96.94
_cell_angle_gamma 139.31
loop_
_atom_site_label
_atom_site_type_symbol
_atom_site_fract_x
_atom_site_fract_y
_atom_site_fract_z
Ba1 Ba 0.0000 0.0000 0.0000
Ag1 Ag 0.0954 0.6049 0.7003
Ag2 Ag 0.3951 0.0954 0.4904
Ag3 Ag 0.6049 0.9046 0.5096
Ag4 Ag 0.9046 0.3951 0.2997
Au1 Au 0.2122 0.3200 0.5322
Au2 Au 0.3200 0.7878 0.1078
Au3 Au 0.6800 0.2122 0.8922
Au4 Au 0.7878 0.6800 0.4678
```

Most intense lines, 15 to 90 degrees two-theta, sorted by position:
Position (°2θ)	intensity
18.9	33
26.8	52
27.9	41
30.1	48
36.4	58
39.1	93
43.7	100
45.8	25
47.9	26
63.0	35


[3]
Theoretical powder diffraction line list of Co2Tc4Sb for Cu Kα X-rays, from a cell relaxed with PBE.
Peak positions follow from Bragg's law for the DFT cell and can differ from measured ones.

Structural model:
```
data_Co2Tc4Sb
_space_group_name_H-M_alt 'P 1'
_space_group_IT_number 1
_space_group_name_Hall 'P 1'
_cell_length_a 4.8011
_cell_length_b 4.8011
_cell_length_c 11.8611
_cell_angle_alpha 90.00
_cell_angle_beta 90.00
_cell_angle_gamma 90.00
loop_
_atom_site_label
_atom_site_type_symbol
_atom_site_fract_x
_atom_site_fract_y
_atom_site_fract_z
Co1 Co 0.0000 0.0000 0.0994
Co2 Co 0.0000 0.0000 0.9006
Co3 Co 0.5000 0.5000 0.4006
Co4 Co 0.5000 0.5000 0.5994
Tc1 Tc 0.0000 0.0000 0.2817
Tc2 Tc 0.0000 0.0000 0.7183
Tc3 Tc 0.0000 0.5000 0.0000
Tc4 Tc 0.0000 0.5000 0.5000
Tc5 Tc 0.5000 0.0000 0.0000
Tc6 Tc 0.5000 0.0000 0.5000
Tc7 Tc 0.5000 0.5000 0.2183
Tc8 Tc 0.5000 0.5000 0.7817
Sb1 Sb 0.0000 0.0000 0.5000
Sb2 Sb 0.5000 0.5000 0.0000
```

Most intense lines, 15 to 90 degrees two-theta, sorted by position:
Position (°2θ)	intensity
26.3	37
30.1	28
30.3	44
37.5	100
42.5	57
48.8	29
54.0	34
57.9	44
63.1	14
83.2	15


[4]
Theoretical powder diffraction line list of TbCeZnAg for Cu Kα X-rays, from a cell relaxed with PBE.
Peak positions follow from Bragg's law for the DFT cell and can differ from measured ones.

Structural model:
```
data_TbCeZnAg
_space_group_name_H-M_alt 'P 1'
_space_group_IT_number 1
_space_group_name_Hall 'P 1'
_cell_length_a 7.3216
_cell_length_b 7.3216
_cell_length_c 7.3216
_cell_angle_alpha 90.00
_cell_angle_beta 90.00
_cell_angle_gamma 90.00
loop_
_atom_site_label
_atom_site_type_symbol
_atom_site_fract_x
_atom_site_fract_y
_atom_site_fract_z
Tb1 Tb 0.0000 0.0000 0.0000
Tb2 Tb 0.0000 0.5000 0.5000
Tb3 Tb 0.5000 0.0000 0.5000
Tb4 Tb 0.5000 0.5000 0.0000
Ce1 Ce 0.0000 0.0000 0.5000
Ce2 Ce 0.0000 0.5000 0.0000
Ce3 Ce 0.5000 0.0000 0.0000
Ce4 Ce 0.5000 0.5000 0.5000
Zn1 Zn 0.2500 0.2500 0.7500
Zn2 Zn 0.2500 0.7500 0.2500
Zn3 Zn 0.7500 0.2500 0.2500
Zn4 Zn 0.7500 0.7500 0.7500
Ag1 Ag 0.2500 0.2500 0.2500
Ag2 Ag 0.2500 0.7500 0.7500
Ag3 Ag 0.7500 0.2500 0.7500
Ag4 Ag 0.7500 0.7500 0.2500
```

Most intense lines, 15 to 90 degrees two-theta, sorted by position:
Position (°2θ)	intensity
21.0	2
24.3	7
34.7	100
42.8	2
49.8	18
56.2	3
62.1	36
73.1	11
78.4	2
83.5	15


[5]
Theoretical powder diffraction line list of Li2Zn3Cd4 for Cu Kα X-rays, from a cell relaxed with PBE.
Peak positions follow from Bragg's law for the DFT cell and can differ from measured ones.

Structural model:
```
data_Li2Zn3Cd4
_space_group_name_H-M_alt 'P 1'
_space_group_IT_number 1
_space_group_name_Hall 'P 1'
_cell_length_a 4.6192
_cell_length_b 4.6774
_cell_length_c 8.4978
_cell_angle_alpha 91.26
_cell_angle_beta 90.02
_cell_angle_gamma 119.56
loop_
_atom_site_label
_atom_site_type_symbol
_atom_site_fract_x
_atom_site_fract_y
_atom_site_fract_z
Li1 Li 0.1749 0.3479 0.2254
Li2 Li 0.8251 0.6521 0.7746
Zn1 Zn 0.1613 0.3243 0.5536
Zn2 Zn 0.5000 0.0000 0.0000
Zn3 Zn 0.8387 0.6757 0.4464
Cd1 Cd 0.1632 0.3273 0.8882
Cd2 Cd 0.4897 0.9815 0.6724
Cd3 Cd 0.5103 0.0185 0.3276
Cd4 Cd 0.8368 0.6727 0.1118
```

Most intense lines, 15 to 90 degrees two-theta, sorted by position:
Position (°2θ)	intensity
24.6	36
30.8	22
38.5	100
38.7	99
39.0	49
39.2	51
54.9	17
56.5	31
69.3	16
70.5	23


[6]
Theoretical powder diffraction line list of PrVI for Cu Kα X-rays, from a cell relaxed with PBE.
Peak positions follow from Bragg's law for the DFT cell and can differ from measured ones.

Structural model:
```
data_PrVI
_space_group_name_H-M_alt 'P 1'
_space_group_IT_number 1
_space_group_name_Hall 'P 1'
_cell_length_a 4.0611
_cell_length_b 21.1115
_cell_length_c 4.2543
_cell_angle_alpha 90.00
_cell_angle_beta 90.00
_cell_angle_gamma 90.00
loop_
_atom_site_label
_atom_site_type_symbol
_atom_site_fract_x
_atom_site_fract_y
_atom_site_fract_z
Pr1 Pr 0.0000 0.0888 0.2500
Pr2 Pr 0.0000 0.9112 0.7500
Pr3 Pr 0.5000 0.4112 0.7500
Pr4 Pr 0.5000 0.5888 0.2500
V1 V 0.0000 0.4787 0.2500
V2 V 0.0000 0.5213 0.7500
V3 V 0.5000 0.0213 0.7500
V4 V 0.5000 0.9787 0.2500
I1 I 0.0000 0.3325 0.2500
I2 I 0.0000 0.6675 0.7500
I3 I 0.5000 0.1675 0.7500
I4 I 0.5000 0.8325 0.2500
```

Most intense lines, 15 to 90 degrees two-theta, sorted by position:
Position (°2θ)	intensity
16.8	32
26.9	74
30.5	79
30.7	100
33.0	63
37.1	30
40.2	54
44.6	36
53.2	32
61.6	30


[7]
Theoretical powder diffraction line list of BaZnAs2O6 for Cu Kα X-rays, from a cell relaxed with PBE.
Peak positions follow from Bragg's law for the DFT cell and can differ from measured ones.

Structural model:
```
data_BaZnAs2O6
_space_group_name_H-M_alt 'P 1'
_space_group_IT_number 1
_space_group_name_Hall 'P 1'
_cell_length_a 6.6510
_cell_length_b 6.6510
_cell_length_c 6.6510
_cell_angle_alpha 50.07
_cell_angle_beta 50.07
_cell_angle_gamma 50.07
loop_
_atom_site_label
_atom_site_type_symbol
_atom_site_fract_x
_atom_site_fract_y
_atom_site_fract_z
Ba1 Ba 0.0000 0.0000 0.0000
Zn1 Zn 0.5000 0.5000 0.5000
As1 As 0.2610 0.2610 0.2610
As2 As 0.7390 0.7390 0.7390
O1 O 0.0883 0.7097 0.4984
O2 O 0.2903 0.5016 0.9117
O3 O 0.4984 0.0883 0.7097
O4 O 0.5016 0.9117 0.2903
O5 O 0.7097 0.4984 0.0883
O6 O 0.9117 0.2903 0.5016
```

Most intense lines, 15 to 90 degrees two-theta, sorted by position:
Position (°2θ)	intensity
27.5	100
31.8	48
35.4	12
42.5	22
45.7	20
54.0	27
56.7	26
66.5	19
73.3	12
73.4	8


[8]
Theoretical powder diffraction line list of Mg2VCl6 for Cu Kα X-rays, from a cell relaxed with PBE.
Peak positions follow from Bragg's law for the DFT cell and can differ from measured ones.

Structural model:
```
data_Mg2VCl6
_space_group_name_H-M_alt 'P 1'
_space_group_IT_number 1
_space_group_name_Hall 'P 1'
_cell_length_a 8.5324
_cell_length_b 8.5324
_cell_length_c 7.7344
_cell_angle_alpha 107.41
_cell_angle_beta 107.41
_cell_angle_gamma 24.77
loop_
_atom_site_label
_atom_site_type_symbol
_atom_site_fract_x
_atom_site_fract_y
_atom_site_fract_z
Mg1 Mg 0.1665 0.1665 0.3314
Mg2 Mg 0.8335 0.8335 0.6686
V1 V 0.5000 0.5000 0.0000
Cl1 Cl 0.0076 0.0076 0.2239
Cl2 Cl 0.3256 0.3256 0.4388
Cl3 Cl 0.3429 0.3429 0.8980
Cl4 Cl 0.6571 0.6571 0.1020
Cl5 Cl 0.6744 0.6744 0.5612
Cl6 Cl 0.9924 0.9924 0.7761
```

Most intense lines, 15 to 90 degrees two-theta, sorted by position:
Position (°2θ)	intensity
28.6	18
29.7	30
33.8	100
33.9	50
43.3	24
47.2	42
49.8	16
50.0	31
52.1	13
61.7	22


[9]
Theoretical powder diffraction line list of ThHg3Pd7 for Cu Kα X-rays, from a cell relaxed with PBE.
Peak positions follow from Bragg's law for the DFT cell and can differ from measured ones.

Structural model:
```
data_ThHg3Pd7
_space_group_name_H-M_alt 'P 1'
_space_group_IT_number 1
_space_group_name_Hall 'P 1'
_cell_length_a 6.6196
_cell_length_b 6.6196
_cell_length_c 5.5016
_cell_angle_alpha 106.17
_cell_angle_beta 106.17
_cell_angle_gamma 93.76
loop_
_atom_site_label
_atom_site_type_symbol
_atom_site_fract_x
_atom_site_fract_y
_atom_site_fract_z
Th1 Th 0.0000 0.0000 0.0000
Hg1 Hg 0.2814 0.7186 0.5000
Hg2 Hg 0.5000 0.5000 0.0000
Hg3 Hg 0.7186 0.2814 0.5000
Pd1 Pd 0.0000 0.0000 0.5000
Pd2 Pd 0.0833 0.5681 0.8216
Pd3 Pd 0.2903 0.2903 0.4548
Pd4 Pd 0.4319 0.9167 0.1784
Pd5 Pd 0.5681 0.0833 0.8216
Pd6 Pd 0.7097 0.7097 0.5452
Pd7 Pd 0.9167 0.4319 0.1784
```

Most intense lines, 15 to 90 degrees two-theta, sorted by position:
Position (°2θ)	intensity
21.5	38
28.5	55
33.3	66
35.7	25
37.2	65
38.2	100
40.5	18
44.2	43
50.8	37
58.3	21


[10]
Theoretical powder diffraction line list of Pr2Nd3Ho3 for Cu Kα X-rays, from a cell relaxed with PBE.
Peak positions follow from Bragg's law for the DFT cell and can differ from measured ones.

Structural model:
```
data_Pr2Nd3Ho3
_space_group_name_H-M_alt 'P 1'
_space_group_IT_number 1
_space_group_name_Hall 'P 1'
_cell_length_a 5.1293
_cell_length_b 5.1438
_cell_length_c 20.5080
_cell_angle_alpha 90.00
_cell_angle_beta 90.00
_cell_angle_gamma 90.00
loop_
_atom_site_label
_atom_site_type_symbol
_atom_site_fract_x
_atom_site_fract_y
_atom_site_fract_z
Pr1 Pr 0.0000 0.0000 0.2497
Pr2 Pr 0.0000 0.0000 0.7503
Pr3 Pr 0.5000 0.5000 0.2503
Pr4 Pr 0.5000 0.5000 0.7497
Nd1 Nd 0.0000 0.0000 0.0000
Nd2 Nd 0.0000 0.5000 0.1226
Nd3 Nd 0.0000 0.5000 0.8774
Nd4 Nd 0.5000 0.0000 0.3774
Nd5 Nd 0.5000 0.0000 0.6226
Nd6 Nd 0.5000 0.5000 0.5000
Ho1 Ho 0.0000 0.0000 0.5000
Ho2 Ho 0.0000 0.5000 0.3763
Ho3 Ho 0.0000 0.5000 0.6237
Ho4 Ho 0.5000 0.0000 0.1237
Ho5 Ho 0.5000 0.0000 0.8763
Ho6 Ho 0.5000 0.5000 0.0000
```

Most intense lines, 15 to 90 degrees two-theta, sorted by position:
Position (°2θ)	intensity
30.2	100
34.9	17
35.0	34
50.3	36
59.6	14
59.8	29
62.7	12
81.7	12
81.9	6
84.4	8


Please write out number 2 again, unchanged.
Theoretical powder diffraction line list of BaAg4Au4 for Cu Kα X-rays, from a cell relaxed with PBE.
Peak positions follow from Bragg's law for the DFT cell and can differ from measured ones.

Structural model:
```
data_BaAg4Au4
_space_group_name_H-M_alt 'P 1'
_space_group_IT_number 1
_space_group_name_Hall 'P 1'
_cell_length_a 7.0910
_cell_length_b 7.0910
_cell_length_c 7.0910
_cell_angle_alpha 96.94
_cell_angle_beta 96.94
_cell_angle_gamma 139.31
loop_
_atom_site_label
_atom_site_type_symbol
_atom_site_fract_x
_atom_site_fract_y
_atom_site_fract_z
Ba1 Ba 0.0000 0.0000 0.0000
Ag1 Ag 0.0954 0.6049 0.7003
Ag2 Ag 0.3951 0.0954 0.4904
Ag3 Ag 0.6049 0.9046 0.5096
Ag4 Ag 0.9046 0.3951 0.2997
Au1 Au 0.2122 0.3200 0.5322
Au2 Au 0.3200 0.7878 0.1078
Au3 Au 0.6800 0.2122 0.8922
Au4 Au 0.7878 0.6800 0.4678
```

Most intense lines, 15 to 90 degrees two-theta, sorted by position:
Position (°2θ)	intensity
18.9	33
26.8	52
27.9	41
30.1	48
36.4	58
39.1	93
43.7	100
45.8	25
47.9	26
63.0	35


> What is the formula in the ninth record?

ThHg3Pd7